[1]
Theoretical X-ray powder pattern
Compound: TaMo5W2
Radiation: λ = 1.5418 Å (Cu Kα)
Structure: the GGA-PBE geometry in Alexandria

Top 6 peaks for 10 to 80 degrees two-theta, in order of rising 2θ:
2θ/deg, I_rel
19.0, 18
40.4, 34
40.6, 100
40.9, 65
58.6, 22
73.6, 23

Structure:
```
data_TaMo5W2
_space_group_name_H-M_alt 'P 1'
_space_group_IT_number 1
_cell_length_a 6.8513
_cell_length_b 6.8513
_cell_length_c 5.1501
_cell_angle_alpha 109.82
_cell_angle_beta 109.82
_cell_angle_gamma 38.06
loop_
_space_group_symop_operation_xyz
'x,y,z'
loop_
_atom_site_label
_atom_site_fract_x
_atom_site_fract_y
_atom_site_fract_z
Ta1 0.0000 0.0000 0.0000
Mo1 0.2189 0.2189 0.1175
Mo2 0.4401 0.4401 0.2235
Mo3 0.5546 0.5546 0.7667
Mo4 0.7735 0.7735 0.8845
Mo5 0.8878 0.8878 0.4416
W1 0.3258 0.3258 0.6617
W2 0.6630 0.6630 0.3342
```

[2]
Theoretical X-ray powder pattern
Compound: SmTmN
Radiation: λ = 1.5418 Å (Cu Kα)
Structure: the GGA-PBE geometry in Alexandria

Top 6 peaks for 10 to 80 degrees two-theta, in order of rising 2θ:
2θ/deg, I_rel
29.7, 34
31.1, 100
35.7, 80
50.4, 26
52.2, 28
61.2, 28

Structure:
```
data_SmTmN
_space_group_name_H-M_alt 'P 1'
_space_group_IT_number 1
_cell_length_a 6.3446
_cell_length_b 6.3446
_cell_length_c 6.3446
_cell_angle_alpha 32.06
_cell_angle_beta 32.06
_cell_angle_gamma 32.06
loop_
_space_group_symop_operation_xyz
'x,y,z'
loop_
_atom_site_label
_atom_site_fract_x
_atom_site_fract_y
_atom_site_fract_z
Sm1 0.0000 0.0000 0.0000
Tm1 0.5167 0.5167 0.5167
N1 0.2474 0.2474 0.2474
```

[3]
Theoretical X-ray powder pattern
Compound: Ta4NbMo3
Radiation: λ = 1.5418 Å (Cu Kα)
Structure: the GGA-PBE geometry in Alexandria

Top 6 peaks for 10 to 80 degrees two-theta, in order of rising 2θ:
2θ/deg, I_rel
27.4, 11
39.2, 100
48.5, 3
56.6, 17
64.1, 4
71.0, 34

Structure:
```
data_Ta4NbMo3
_space_group_name_H-M_alt 'P 1'
_space_group_IT_number 1
_cell_length_a 3.2484
_cell_length_b 4.5953
_cell_length_c 9.2008
_cell_angle_alpha 90.00
_cell_angle_beta 90.00
_cell_angle_gamma 90.00
loop_
_space_group_symop_operation_xyz
'x,y,z'
loop_
_atom_site_label
_atom_site_fract_x
_atom_site_fract_y
_atom_site_fract_z
Ta1 0.0000 0.0000 0.0000
Ta2 0.0000 0.0000 0.5000
Ta3 0.0000 0.5000 0.2432
Ta4 0.0000 0.5000 0.7568
Nb1 0.5000 0.5000 0.5000
Mo1 0.5000 0.0000 0.2497
Mo2 0.5000 0.0000 0.7503
Mo3 0.5000 0.5000 0.0000
```

[4]
Theoretical X-ray powder pattern
Compound: TbAgPd4
Radiation: λ = 1.5418 Å (Cu Kα)
Structure: the GGA-PBE geometry in Alexandria

Top 6 peaks for 10 to 80 degrees two-theta, in order of rising 2θ:
2θ/deg, I_rel
37.9, 100
42.7, 18
42.8, 18
46.6, 14
65.1, 15
75.0, 13

Structure:
```
data_TbAgPd4
_space_group_name_H-M_alt 'P 1'
_space_group_IT_number 1
_cell_length_a 6.2163
_cell_length_b 6.2163
_cell_length_c 4.2215
_cell_angle_alpha 90.15
_cell_angle_beta 90.15
_cell_angle_gamma 39.82
loop_
_space_group_symop_operation_xyz
'x,y,z'
loop_
_atom_site_label
_atom_site_fract_x
_atom_site_fract_y
_atom_site_fract_z
Tb1 0.0000 0.0000 0.0000
Ag1 0.5000 0.5000 0.5000
Pd1 0.1712 0.1712 0.4999
Pd2 0.3322 0.3322 0.9999
Pd3 0.6678 0.6678 0.0001
Pd4 0.8288 0.8288 0.5001
```

[5]
Theoretical X-ray powder pattern
Compound: NaPu2Ge3
Radiation: λ = 1.5418 Å (Cu Kα)
Structure: the GGA-PBE geometry in Alexandria

Top 6 peaks for 10 to 80 degrees two-theta, in order of rising 2θ:
2θ/deg, I_rel
13.6, 18
35.0, 100
40.2, 35
41.5, 15
59.2, 22
69.7, 27

Structure:
```
data_NaPu2Ge3
_space_group_name_H-M_alt 'P 1'
_space_group_IT_number 1
_cell_length_a 3.1720
_cell_length_b 3.1720
_cell_length_c 13.0414
_cell_angle_alpha 90.00
_cell_angle_beta 90.00
_cell_angle_gamma 90.00
loop_
_space_group_symop_operation_xyz
'x,y,z'
loop_
_atom_site_label
_atom_site_fract_x
_atom_site_fract_y
_atom_site_fract_z
Na1 0.0000 0.0000 0.0000
Pu1 0.0000 0.0000 0.3372
Pu2 0.0000 0.0000 0.6629
Ge1 0.5000 0.5000 0.1740
Ge2 0.5000 0.5000 0.5000
Ge3 0.5000 0.5000 0.8260
```

[6]
Theoretical X-ray powder pattern
Compound: Sm6Ga5Ag
Radiation: λ = 1.5418 Å (Cu Kα)
Structure: the GGA-PBE geometry in Alexandria

Top 6 peaks for 10 to 80 degrees two-theta, in order of rising 2θ:
2θ/deg, I_rel
24.3, 11
34.6, 100
49.7, 12
61.9, 24
62.0, 12
72.9, 7

Structure:
```
data_Sm6Ga5Ag
_space_group_name_H-M_alt 'P 1'
_space_group_IT_number 1
_cell_length_a 5.1885
_cell_length_b 7.3306
_cell_length_c 8.2039
_cell_angle_alpha 90.00
_cell_angle_beta 108.31
_cell_angle_gamma 90.00
loop_
_space_group_symop_operation_xyz
'x,y,z'
loop_
_atom_site_label
_atom_site_fract_x
_atom_site_fract_y
_atom_site_fract_z
Sm1 0.0000 0.2474 0.0000
Sm2 0.0000 0.7526 0.0000
Sm3 0.3318 0.2490 0.6642
Sm4 0.3318 0.7510 0.6642
Sm5 0.6682 0.2490 0.3358
Sm6 0.6682 0.7510 0.3358
Ga1 0.1621 0.5000 0.3241
Ga2 0.1661 0.0000 0.3313
Ga3 0.5000 0.0000 0.0000
Ga4 0.8339 0.0000 0.6687
Ga5 0.8379 0.5000 0.6759
Ag1 0.5000 0.5000 0.0000
```

[7]
Theoretical X-ray powder pattern
Compound: Th2Cd16Pb
Radiation: λ = 1.5418 Å (Cu Kα)
Structure: the GGA-PBE geometry in Alexandria

Top 6 peaks for 10 to 80 degrees two-theta, in order of rising 2θ:
2θ/deg, I_rel
30.1, 49
34.9, 57
35.3, 100
36.7, 47
39.6, 35
65.3, 27

Structure:
```
data_Th2Cd16Pb
_space_group_name_H-M_alt 'P 1'
_space_group_IT_number 1
_cell_length_a 7.6968
_cell_length_b 7.6968
_cell_length_c 7.6968
_cell_angle_alpha 83.95
_cell_angle_beta 83.95
_cell_angle_gamma 83.95
loop_
_space_group_symop_operation_xyz
'x,y,z'
loop_
_atom_site_label
_atom_site_fract_x
_atom_site_fract_y
_atom_site_fract_z
Th1 0.0000 0.0000 0.0000
Th2 0.3268 0.3268 0.3268
Cd1 0.0171 0.0171 0.5126
Cd2 0.0171 0.5126 0.0171
Cd3 0.1862 0.6496 0.6496
Cd4 0.3040 0.3040 0.8535
Cd5 0.3040 0.8535 0.3040
Cd6 0.3527 0.6689 0.9754
Cd7 0.3527 0.9754 0.6689
Cd8 0.5126 0.0171 0.0171
Cd9 0.5606 0.5606 0.5606
Cd10 0.6496 0.1862 0.6496
Cd11 0.6496 0.6496 0.1862
Cd12 0.6689 0.3527 0.9754
Cd13 0.6689 0.9754 0.3527
Cd14 0.8535 0.3040 0.3040
Cd15 0.9754 0.3527 0.6689
Cd16 0.9754 0.6689 0.3527
Pb1 0.7678 0.7678 0.7678
```

[8]
Theoretical X-ray powder pattern
Compound: Ac6Pb5Au
Radiation: λ = 1.5418 Å (Cu Kα)
Structure: the GGA-PBE geometry in Alexandria

Top 6 peaks for 10 to 80 degrees two-theta, in order of rising 2θ:
2θ/deg, I_rel
30.2, 100
32.1, 21
32.4, 21
46.2, 15
56.0, 17
56.4, 18

Structure:
```
data_Ac6Pb5Au
_space_group_name_H-M_alt 'P 1'
_space_group_IT_number 1
_cell_length_a 9.9003
_cell_length_b 9.9003
_cell_length_c 5.5304
_cell_angle_alpha 106.20
_cell_angle_beta 106.20
_cell_angle_gamma 115.39
loop_
_space_group_symop_operation_xyz
'x,y,z'
loop_
_atom_site_label
_atom_site_fract_x
_atom_site_fract_y
_atom_site_fract_z
Ac1 0.0751 0.4047 0.7397
Ac2 0.2271 0.2271 0.2265
Ac3 0.4047 0.0751 0.7397
Ac4 0.5953 0.9249 0.2603
Ac5 0.7729 0.7729 0.7735
Ac6 0.9249 0.5953 0.2603
Pb1 0.1739 0.8261 0.0000
Pb2 0.3461 0.6539 0.5000
Pb3 0.5000 0.5000 0.0000
Pb4 0.6539 0.3461 0.5000
Pb5 0.8261 0.1739 0.0000
Au1 0.0000 0.0000 0.5000
```

[9]
Theoretical X-ray powder pattern
Compound: NpHgO6
Radiation: λ = 1.5418 Å (Cu Kα)
Structure: the GGA-PBE geometry in Alexandria

Top 6 peaks for 10 to 80 degrees two-theta, in order of rising 2θ:
2θ/deg, I_rel
20.3, 100
20.8, 94
25.1, 70
29.2, 89
32.5, 46
32.8, 53

Structure:
```
data_NpHgO6
_space_group_name_H-M_alt 'P 1'
_space_group_IT_number 1
_cell_length_a 5.8417
_cell_length_b 5.8417
_cell_length_c 4.6537
_cell_angle_alpha 105.25
_cell_angle_beta 105.25
_cell_angle_gamma 97.24
loop_
_space_group_symop_operation_xyz
'x,y,z'
loop_
_atom_site_label
_atom_site_fract_x
_atom_site_fract_y
_atom_site_fract_z
Np1 0.0000 0.0000 0.0000
Hg1 0.5000 0.5000 0.0000
O1 0.1550 0.8375 0.7232
O2 0.1625 0.8450 0.2768
O3 0.2989 0.2989 0.1654
O4 0.7011 0.7011 0.8346
O5 0.8375 0.1550 0.7232
O6 0.8450 0.1625 0.2768
```

[10]
Theoretical X-ray powder pattern
Compound: Li6Ag
Radiation: λ = 1.5418 Å (Cu Kα)
Structure: the GGA-PBE geometry in Alexandria

Top 6 peaks for 10 to 80 degrees two-theta, in order of rising 2θ:
2θ/deg, I_rel
13.3, 100
22.5, 88
23.8, 77
28.4, 47
31.5, 37
38.6, 76

Structure:
```
data_Li6Ag
_space_group_name_H-M_alt 'P 1'
_space_group_IT_number 1
_cell_length_a 7.2015
_cell_length_b 7.2015
_cell_length_c 7.2015
_cell_angle_alpha 37.77
_cell_angle_beta 37.77
_cell_angle_gamma 37.77
loop_
_space_group_symop_operation_xyz
'x,y,z'
loop_
_atom_site_label
_atom_site_fract_x
_atom_site_fract_y
_atom_site_fract_z
Li1 0.0755 0.0755 0.0755
Li2 0.2118 0.2118 0.2118
Li3 0.3623 0.3623 0.3623
Li4 0.6377 0.6377 0.6377
Li5 0.7882 0.7882 0.7882
Li6 0.9245 0.9245 0.9245
Ag1 0.5000 0.5000 0.5000
```

[11]
Theoretical X-ray powder pattern
Compound: LiPdPt2
Radiation: λ = 1.5418 Å (Cu Kα)
Structure: the GGA-PBE geometry in Alexandria

Top 6 peaks for 10 to 80 degrees two-theta, in order of rising 2θ:
2θ/deg, I_rel
19.7, 84
38.3, 32
40.0, 100
40.2, 99
46.5, 66
68.3, 42

Structure:
```
data_LiPdPt2
_space_group_name_H-M_alt 'P 1'
_space_group_IT_number 1
_cell_length_a 5.4964
_cell_length_b 5.4964
_cell_length_c 5.4964
_cell_angle_alpha 119.83
_cell_angle_beta 90.64
_cell_angle_gamma 119.43
loop_
_space_group_symop_operation_xyz
'x,y,z'
loop_
_atom_site_label
_atom_site_fract_x
_atom_site_fract_y
_atom_site_fract_z
Li1 0.5000 0.0000 0.0000
Li2 0.5000 0.5000 0.5000
Pd1 0.0000 0.0000 0.0000
Pd2 0.5000 0.0000 0.5000
Pt1 0.0000 0.0000 0.5000
Pt2 0.0000 0.5000 0.0000
Pt3 0.0000 0.5000 0.5000
Pt4 0.5000 0.5000 0.0000
```

[12]
Theoretical X-ray powder pattern
Compound: KMgCo
Radiation: λ = 1.5418 Å (Cu Kα)
Structure: the GGA-PBE geometry in Alexandria

Top 6 peaks for 10 to 80 degrees two-theta, in order of rising 2θ:
2θ/deg, I_rel
14.3, 44
22.7, 27
28.8, 48
30.6, 61
37.3, 100
47.8, 45

Structure:
```
data_KMgCo
_space_group_name_H-M_alt 'P 1'
_space_group_IT_number 1
_cell_length_a 6.6958
_cell_length_b 6.6958
_cell_length_c 6.6958
_cell_angle_alpha 154.41
_cell_angle_beta 144.06
_cell_angle_gamma 44.64
loop_
_space_group_symop_operation_xyz
'x,y,z'
loop_
_atom_site_label
_atom_site_fract_x
_atom_site_fract_y
_atom_site_fract_z
K1 0.0000 0.0000 0.0000
Mg1 0.7292 0.7292 0.0000
Co1 0.2860 0.2860 0.0000
```